1.
This entry pairs a crystal structure of Al2Cr2Hg with its simulated X-ray powder pattern. Radiation: λ = 1.5418 Å (Cu Kα). Structure: the PBE geometry in Alexandria.

Peak list (8 most intense, 2θ from 10° to 90°, sorted by position)
- 2θ = 17.15°, d = 5.172 Å, rel. 970, (1 1 0)
- 2θ = 24.34°, d = 3.657 Å, rel. 423, (2 0 0)
- 2θ = 34.56°, d = 2.595 Å, rel. 703, (1 1 1)
- 2θ = 34.69°, d = 2.586 Å, rel. 456, (2 2 0)
- 2θ = 38.82°, d = 2.320 Å, rel. 830, (2 0 1)
- 2θ = 38.94°, d = 2.313 Å, rel. 1000, (3 1 0)
- 2θ = 49.78°, d = 1.832 Å, rel. 432, (3 1 1)
- 2θ = 73.15°, d = 1.294 Å, rel. 336, (4 4 0)

Crystal structure
Cell: 7.314 7.314 3.001 Å, 90.00 90.00 90.00°
Space group P4/mbm (No. 127)
One atom of each set of equivalent atoms:
Al 0.127 0.373 0.000
Cr 0.168 0.668 0.500
Hg 0.000 0.000 0.000

---

2.
This entry pairs a crystal structure of As3CI with its simulated X-ray powder pattern. Radiation: λ = 1.5418 Å (Cu Kα). Structure: the PBE geometry in Alexandria.

Peak list (8 most intense, 2θ from 10° to 90°, sorted by position)
- 2θ = 19.41°, d = 4.572 Å, rel. 31, (1 0 0)
- 2θ = 27.59°, d = 3.233 Å, rel. 76, (1 1 0)
- 2θ = 33.96°, d = 2.640 Å, rel. 1000, (1 1 1)
- 2θ = 39.42°, d = 2.286 Å, rel. 557, (2 0 0)
- 2θ = 56.97°, d = 1.617 Å, rel. 369, (2 2 0)
- 2θ = 68.00°, d = 1.379 Å, rel. 395, (3 1 1)
- 2θ = 71.48°, d = 1.320 Å, rel. 124, (2 2 2)
- 2θ = 84.82°, d = 1.143 Å, rel. 60, (4 0 0)

Crystal structure
Cell: 4.572 4.572 4.572 Å, 90.00 90.00 90.00°
Space group Pm-3m (No. 221)
One atom of each set of equivalent atoms:
As 0.000 0.000 0.500
C 0.000 0.000 0.000
I 0.500 0.500 0.500

---

3.
This entry pairs a crystal structure of NdTh2Mg6 with its simulated X-ray powder pattern. Radiation: λ = 1.5418 Å (Cu Kα). Structure: the PBE geometry in Alexandria.

Peak list (8 most intense, 2θ from 10° to 90°, sorted by position)
- 2θ = 19.39°, d = 4.578 Å, rel. 1000, (1 1 0)
- 2θ = 33.20°, d = 2.698 Å, rel. 909, (1 1 3)
- 2θ = 33.92°, d = 2.643 Å, rel. 542, (3 0 0)
- 2θ = 39.36°, d = 2.289 Å, rel. 172, (2 2 0)
- 2θ = 43.67°, d = 2.073 Å, rel. 185, (3 0 3)
- 2θ = 48.20°, d = 1.888 Å, rel. 324, (2 2 3)
- 2θ = 60.23°, d = 1.536 Å, rel. 335, (4 1 3)
- 2θ = 66.20°, d = 1.412 Å, rel. 154, (3 0 6)

Crystal structure
Cell: 9.1562 9.1562 10.0198 Å, 90.00 90.00 120.00°
Space group R-3m (No. 166, hexagonal axes)
One atom of each set of equivalent atoms:
Nd 0.0000 0.0000 0.0000
Th 0.0000 0.0000 0.3404
Mg 0.0000 0.3346 0.5000

---

4.
This entry pairs a crystal structure of Li2Y2Pt with its simulated X-ray powder pattern. Radiation: λ = 1.5418 Å (Cu Kα). Structure: the PBE geometry in Alexandria.

Peak list (8 most intense, 2θ from 10° to 90°, sorted by position)
- 2θ = 28.97°, d = 3.082 Å, rel. 557, (1 0 3)
- 2θ = 34.97°, d = 2.566 Å, rel. 1000, (1 0 5)
- 2θ = 35.71°, d = 2.515 Å, rel. 472, (1 1 0)
- 2θ = 37.04°, d = 2.427 Å, rel. 511, (1 1 2)
- 2θ = 42.58°, d = 2.123 Å, rel. 450, (1 0 7)
- 2θ = 51.39°, d = 1.778 Å, rel. 186, (2 0 0)
- 2θ = 63.67°, d = 1.461 Å, rel. 347, (2 1 5)
- 2θ = 68.87°, d = 1.363 Å, rel. 215, (2 1 7)

Crystal structure
Cell: 3.556 3.556 18.529 Å, 90.00 90.00 90.00°
Space group I4/mmm (No. 139)
One atom of each set of equivalent atoms:
Li 0.000 0.500 0.250
Y 0.000 0.000 0.089
Pt 0.000 0.000 0.500

---

5.
This entry pairs a crystal structure of LiIn5 with its simulated X-ray powder pattern. Radiation: λ = 1.5418 Å (Cu Kα). Structure: the PBE geometry in Alexandria.

Peak list (8 most intense, 2θ from 10° to 90°, sorted by position)
- 2θ = 26.79°, d = 3.327 Å, rel. 122, (1 0 4)
- 2θ = 30.54°, d = 2.928 Å, rel. 273, (0 1 3)
- 2θ = 35.10°, d = 2.557 Å, rel. 230, (2 0 0)
- 2θ = 35.33°, d = 2.541 Å, rel. 1000, (1 1 3)
- 2θ = 47.20°, d = 1.926 Å, rel. 159, (2 1 3)
- 2θ = 54.27°, d = 1.690 Å, rel. 175, (0 2 0)
- 2θ = 63.12°, d = 1.473 Å, rel. 176, (3 1 3)
- 2θ = 66.29°, d = 1.410 Å, rel. 187, (2 2 0)

Crystal structure
Cell: 5.114 3.384 17.548 Å, 90.00 90.00 90.00°
Space group Amm2 (No. 38)
One atom of each set of equivalent atoms:
Li 0.000 0.000 0.000
In 0.000 0.000 0.346
In 0.000 0.000 0.661
In 0.500 0.000 0.109
In 0.500 0.000 0.453
In 0.500 0.000 0.781

---

6.
This entry pairs a crystal structure of Cd4SnHg12 with its simulated X-ray powder pattern. Radiation: λ = 1.5418 Å (Cu Kα). Structure: the PBE geometry in Alexandria.

Peak list (8 most intense, 2θ from 10° to 90°, sorted by position)
- 2θ = 29.31°, d = 3.047 Å, rel. 239, (1 -2 1)
- 2θ = 30.18°, d = 2.962 Å, rel. 316, (2 -1 1)
- 2θ = 30.82°, d = 2.901 Å, rel. 268, (2 0 2)
- 2θ = 31.34°, d = 2.854 Å, rel. 728, (1 1 3)
- 2θ = 32.41°, d = 2.762 Å, rel. 888, (-1 2 2)
- 2θ = 35.13°, d = 2.554 Å, rel. 1000, (2 1 -1)
- 2θ = 35.89°, d = 2.502 Å, rel. 644, (1 3 1)
- 2θ = 43.12°, d = 2.098 Å, rel. 373, (1 2 4)

Crystal structure
Cell: 6.649 8.037 8.860 Å, 75.98 76.85 88.76°
Space group P1 (No. 1)
One atom of each set of equivalent atoms:
Cd 0.000 0.000 0.000
Cd 0.047 0.223 0.377
Cd 0.392 0.682 0.597
Cd 0.573 0.465 0.858
Sn 0.439 0.827 0.905
Hg 0.128 0.564 0.131
Hg 0.135 0.366 0.801
Hg 0.164 0.836 0.346
Hg 0.274 0.062 0.626
Hg 0.380 0.144 0.093
Hg 0.440 0.413 0.394
Hg 0.658 0.749 0.186
Hg 0.701 0.973 0.422
Hg 0.736 0.149 0.725
Hg 0.779 0.313 0.127
Hg 0.850 0.530 0.509
Hg 0.931 0.743 0.779

---

7.
This entry pairs a crystal structure of Rb4TmNb3O12 with its simulated X-ray powder pattern. Radiation: λ = 1.5418 Å (Cu Kα). Structure: the PBE geometry in Alexandria.

Peak list (8 most intense, 2θ from 10° to 90°, sorted by position)
- 2θ = 21.19°, d = 4.193 Å, rel. 75, (2 0 0)
- 2θ = 30.14°, d = 2.965 Å, rel. 1000, (2 2 0)
- 2θ = 43.15°, d = 2.097 Å, rel. 332, (4 0 0)
- 2θ = 53.53°, d = 1.712 Å, rel. 397, (4 2 2)
- 2θ = 62.67°, d = 1.482 Å, rel. 202, (4 4 0)
- 2θ = 71.10°, d = 1.326 Å, rel. 175, (6 2 0)
- 2θ = 79.12°, d = 1.210 Å, rel. 66, (4 4 4)
- 2θ = 86.93°, d = 1.121 Å, rel. 211, (6 4 2)

Crystal structure
Cell: 8.386 8.386 8.386 Å, 90.00 90.00 90.00°
Space group Im-3m (No. 229)
One atom of each set of equivalent atoms:
Rb 0.250 0.250 0.250
Tm 0.000 0.000 0.000
Nb 0.000 0.000 0.500
O 0.000 0.000 0.267
O 0.000 0.250 0.500

---

8.
This entry pairs a crystal structure of NaSi3O6 with its simulated X-ray powder pattern. Radiation: λ = 1.5418 Å (Cu Kα). Structure: the PBE geometry in Alexandria.

Peak list (8 most intense, 2θ from 10° to 90°, sorted by position)
- 2θ = 16.82°, d = 5.271 Å, rel. 336, (1 1 0)
- 2θ = 24.65°, d = 3.612 Å, rel. 624, (1 2 1)
- 2θ = 26.34°, d = 3.384 Å, rel. 1000, (0 2 2)
- 2θ = 32.04°, d = 2.794 Å, rel. 82, (2 1 1)
- 2θ = 39.66°, d = 2.272 Å, rel. 76, (2 2 2)
- 2θ = 46.00°, d = 1.973 Å, rel. 85, (2 4 0)
- 2θ = 48.97°, d = 1.860 Å, rel. 153, (1 4 3)
- 2θ = 62.06°, d = 1.496 Å, rel. 79, (4 1 1)

Crystal structure
Cell: 6.134 10.307 8.972 Å, 90.00 90.00 90.00°
Space group Ibam (No. 72)
One atom of each set of equivalent atoms:
Na 0.000 0.000 0.250
Si 0.000 0.500 0.250
Si 0.167 0.313 0.000
O 0.074 0.239 0.500
O 0.167 0.413 0.148

---

9.
This entry pairs a crystal structure of CaTl2F4 with its simulated X-ray powder pattern. Radiation: λ = 1.5418 Å (Cu Kα). Structure: the PBE geometry in Alexandria.

Peak list (8 most intense, 2θ from 10° to 90°, sorted by position)
- 2θ = 21.14°, d = 4.203 Å, rel. 316, (1 1 2)
- 2θ = 27.35°, d = 3.261 Å, rel. 1000, (1 1 6)
- 2θ = 28.77°, d = 3.103 Å, rel. 601, (2 0 0)
- 2θ = 38.05°, d = 2.365 Å, rel. 252, (2 0 8)
- 2θ = 41.14°, d = 2.194 Å, rel. 283, (2 2 0)
- 2θ = 47.45°, d = 1.916 Å, rel. 261, (2 0 12)
- 2θ = 50.11°, d = 1.820 Å, rel. 432, (3 1 6)
- 2θ = 56.44°, d = 1.630 Å, rel. 190, (2 2 12)

Crystal structure
Cell: 6.206 6.206 29.231 Å, 90.00 90.00 90.00°
Space group I4_1/acd (No. 142, origin choice 2)
One atom of each set of equivalent atoms:
Ca 0.000 0.250 0.375
Tl 0.000 0.250 0.047
F 0.000 0.250 0.297
F 0.191 0.059 0.125